Starting from a cell relaxed with GGA+U, the powder X-ray diffraction pattern of PuMnO2 was computed for copper Kα.
Intensities are scaled so that the largest is 100.

Crystal structure
Cell lengths 3.4040, 3.4040, 18.8305 Å; angles 90.00, 90.00, 120.00 degrees
Space group R-3m (No. 166, hexagonal axes)
Symmetry-distinct sites (fractional):
Pu 0.0000 0.0000 0.0000 [3 per cell]
Mn 0.0000 0.0000 0.5000 [3 per cell]
O 0.0000 0.0000 0.1092 [6 per cell]

Principal peaks in the range 2θ = 5–70°, in order of falling intensity:
| 2theta | intensity | h k l |
| --- | --- | --- |
| 31.8 | 100 | 0 1 2 |
| 14.1 | 61 | 0 0 3 |
| 35.9 | 55 | 1 0 4 |
| 30.7 | 51 | 1 0 1 |
| 28.4 | 37 | 0 0 6 |
| 49.6 | 32 | 0 1 8 |
| 53.9 | 26 | 1 1 0 |
| 62.0 | 26 | 1 1 6 |
| 58.1 | 20 | 1 0 10 |
| 38.8 | 15 | 0 1 5 |